Entry 1:
# Li2MnFeB2O6
Calculated powder diffractogram, CuKα. Input: the GGA+U geometry in Alexandria.
Lines closer than 0.1° are merged.

Crystal structure
abc: 5.2257 5.2257 10.4355
angles: 90.77 90.77 119.71
Fractional positions:
Li 0.0054 0.9946 0.5000
Li 0.6635 0.6882 0.7479
Li 0.6882 0.6635 0.2479
Li 0.9946 0.0054 0.0000
Mn 0.3351 0.6712 0.0312
Mn 0.6712 0.3351 0.5312
Fe 0.0244 0.3384 0.2830
Fe 0.3384 0.0244 0.7830
B 0.0018 0.3426 0.7892
B 0.3384 0.6761 0.5404
B 0.3426 0.0018 0.2892
B 0.6761 0.3384 0.0404
O 0.0676 0.9782 0.3042
O 0.0971 0.4128 0.4965
O 0.2696 0.5971 0.8184
O 0.3041 0.9189 0.5716
O 0.3632 0.7578 0.2483
O 0.4128 0.0971 0.9965
O 0.5971 0.2696 0.3184
O 0.6132 0.7006 0.5551
O 0.7006 0.6132 0.0551
O 0.7578 0.3632 0.7483
O 0.9189 0.3041 0.0716
O 0.9782 0.0676 0.8042

Largest 10 diffraction maxima, by angle, 15° ≤ 2θ ≤ 90°:
2θ/deg	I/Imax
19.61	41
21.43	24
21.54	39
25.72	29
26.33	19
34.18	15
34.36	100
40.49	29
40.87	17
48.43	23

Entry 2:
# Li8Mn7FeB8O24
Calculated powder diffractogram, CuKα. Input: the GGA+U geometry in Alexandria.
Lines closer than 0.1° are merged.

Crystal structure
abc: 5.2325 9.1315 11.4022
angles: 67.90 77.42 89.51
Fractional positions:
Li 0.0000 0.0000 0.0000
Li 0.0241 0.0397 0.2505
Li 0.2648 0.2467 0.5044
Li 0.3141 0.2810 0.7462
Li 0.4999 0.5029 0.9972
Li 0.5253 0.5417 0.2514
Li 0.7640 0.7459 0.4995
Li 0.8089 0.7792 0.7509
Mn 0.0241 0.3479 0.9636
Mn 0.0552 0.7158 0.2170
Mn 0.2695 0.9298 0.4689
Mn 0.3106 0.6315 0.7139
Mn 0.5485 0.2199 0.2176
Mn 0.7781 0.4297 0.4667
Mn 0.8106 0.1299 0.7166
Fe 0.5295 0.8448 0.9678
B 0.0313 0.6813 0.9604
B 0.0584 0.3925 0.2116
B 0.2707 0.5998 0.4598
B 0.3201 0.9708 0.7130
B 0.5276 0.1803 0.9572
B 0.5608 0.8929 0.2099
B 0.7646 0.0993 0.4626
B 0.8218 0.4739 0.7071
O 0.0309 0.6356 0.4221
O 0.0555 0.4379 0.7484
O 0.1238 0.7846 0.0092
O 0.1915 0.8607 0.6825
O 0.1991 0.5783 0.9229
O 0.2184 0.1154 0.6974
O 0.2724 0.1751 0.9440
O 0.3267 0.4171 0.1941
O 0.3835 0.6977 0.5074
O 0.3901 0.9908 0.2521
O 0.3930 0.4709 0.4467
O 0.4598 0.7742 0.1789
O 0.5217 0.1325 0.4302
O 0.5525 0.9349 0.7548
O 0.6178 0.2905 0.9998
O 0.6971 0.0742 0.9243
O 0.6968 0.3658 0.6732
O 0.7164 0.6165 0.6963
O 0.7733 0.6784 0.9489
O 0.8288 0.9136 0.1954
O 0.8823 0.1986 0.5075
O 0.8864 0.4873 0.2576
O 0.8861 0.9707 0.4474
O 0.9596 0.2744 0.1792

Largest 10 diffraction maxima, by angle, 15° ≤ 2θ ≤ 90°:
2θ/deg	I/Imax
19.63	50
21.49	74
21.57	35
25.75	49
26.51	30
34.25	69
34.92	100
40.28	50
40.85	33
60.89	33

Entry 3:
# Li4MnFe3B4O12
Calculated powder diffractogram, CuKα. Input: the GGA+U geometry in Alexandria.
Lines closer than 0.1° are merged.

Crystal structure
abc: 5.1440 5.2324 10.9710
angles: 77.02 78.80 60.86
Fractional positions:
Li 0.0000 0.0000 0.0000
Li 0.2020 0.9256 0.3301
Li 0.4944 0.5044 0.5049
Li 0.7102 0.4227 0.8242
Mn 0.3222 0.3329 0.0478
Fe 0.3871 0.0955 0.7840
Fe 0.8141 0.8308 0.5479
Fe 0.8812 0.6023 0.2836
B 0.0447 0.7534 0.7922
B 0.1572 0.1738 0.5372
B 0.5379 0.2567 0.2983
B 0.6614 0.6733 0.0333
O 0.0161 0.0178 0.8108
O 0.1835 0.9099 0.5186
O 0.3022 0.2479 0.2556
O 0.3023 0.4887 0.8208
O 0.3956 0.1807 0.5783
O 0.4039 0.9332 0.0018
O 0.5112 0.5209 0.3159
O 0.6999 0.4040 0.0141
O 0.7948 0.9909 0.3267
O 0.8083 0.7443 0.7506
O 0.8889 0.6878 0.0795
O 0.9000 0.4392 0.5098

Largest 10 diffraction maxima, by angle, 15° ≤ 2θ ≤ 90°:
2θ/deg	I/Imax
20.47	84
20.77	25
22.33	31
22.52	62
33.70	100
34.14	32
34.29	24
34.91	27
40.35	24
40.96	52

Entry 4:
# Li8Mn7FeB8O24
Calculated powder diffractogram, CuKα. Input: the GGA+U geometry in Alexandria.
Lines closer than 0.1° are merged.

Crystal structure
abc: 5.9885 9.1657 9.7268
angles: 82.10 78.61 76.05
Fractional positions:
Li 0.0000 0.0000 0.0000
Li 0.0958 0.6233 0.2563
Li 0.2501 0.5021 0.7496
Li 0.3471 0.1243 0.0052
Li 0.4954 0.0024 0.5013
Li 0.5998 0.6259 0.7550
Li 0.7494 0.4987 0.2515
Li 0.8544 0.1230 0.5056
Mn 0.1892 0.1916 0.7376
Mn 0.4191 0.4378 0.0186
Mn 0.4328 0.6896 0.4854
Mn 0.6643 0.9371 0.7698
Mn 0.6822 0.1867 0.2357
Mn 0.9199 0.4338 0.5220
Mn 0.9268 0.6884 0.9881
Fe 0.1648 0.9343 0.2729
B 0.1538 0.2716 0.2615
B 0.1938 0.8527 0.7434
B 0.3978 0.7749 0.0157
B 0.4486 0.3513 0.4933
B 0.6544 0.2735 0.7624
B 0.6929 0.8514 0.2429
B 0.9016 0.7751 0.5122
B 0.9473 0.3513 0.9913
O 0.0255 0.2081 0.9468
O 0.0382 0.1550 0.3147
O 0.0655 0.4657 0.9356
O 0.0710 0.4137 0.3080
O 0.0975 0.7478 0.4043
O 0.2510 0.3814 0.5985
O 0.2781 0.7100 0.6978
O 0.2806 0.6598 0.0711
O 0.3092 0.9688 0.6895
O 0.3189 0.9177 0.0605
O 0.3500 0.2448 0.1552
O 0.4967 0.8830 0.3492
O 0.5258 0.1627 0.8145
O 0.5301 0.2082 0.4494
O 0.5671 0.4656 0.4387
O 0.5752 0.4175 0.8049
O 0.5933 0.7453 0.9085
O 0.7519 0.3806 0.0982
O 0.7720 0.7066 0.2016
O 0.7879 0.6590 0.5681
O 0.8127 0.9642 0.1853
O 0.8198 0.9176 0.5570
O 0.8568 0.2396 0.6612
O 0.9969 0.8793 0.8494

Largest 10 diffraction maxima, by angle, 15° ≤ 2θ ≤ 90°:
2θ/deg	I/Imax
20.38	81
20.68	24
22.07	35
22.57	62
33.68	100
33.94	31
34.22	29
34.65	26
39.95	27
40.76	59

Entry 5:
# Li2MnFeB2O6
Calculated powder diffractogram, CuKα. Input: the GGA+U geometry in Alexandria.
Lines closer than 0.1° are merged.

Crystal structure
abc: 5.2217 5.2294 10.3291
angles: 90.93 90.83 119.60
Fractional positions:
Li 0.0000 0.0000 0.0000
Li 0.0141 0.9853 0.5004
Li 0.6706 0.6789 0.7526
Li 0.6928 0.6562 0.2453
Mn 0.0233 0.3342 0.2821
Mn 0.3371 0.6673 0.0316
Fe 0.3506 0.0182 0.7835
Fe 0.6720 0.3312 0.5329
B 0.0102 0.3361 0.7909
B 0.3433 0.6648 0.5415
B 0.3473 0.9939 0.2880
B 0.6809 0.3339 0.0382
O 0.0706 0.9613 0.3045
O 0.0962 0.4033 0.5004
O 0.2761 0.5913 0.8236
O 0.3218 0.9151 0.5715
O 0.3791 0.7581 0.2422
O 0.4191 0.0880 0.9970
O 0.5969 0.2636 0.3209
O 0.6169 0.6824 0.5547
O 0.7012 0.6065 0.0513
O 0.7659 0.3567 0.7500
O 0.9266 0.3030 0.0697
O 0.9886 0.0619 0.8025

Largest 10 diffraction maxima, by angle, 15° ≤ 2θ ≤ 90°:
2θ/deg	I/Imax
19.54	26
19.66	46
21.48	40
21.58	68
25.78	47
26.48	30
34.33	66
34.76	100
40.44	47
40.91	30

Entry 6:
# Li6Mn5FeB6O18
Calculated powder diffractogram, CuKα. Input: the GGA+U geometry in Alexandria.
Lines closer than 0.1° are merged.

Crystal structure
abc: 8.8560 8.8560 8.2507
angles: 117.76 117.76 42.10
Fractional positions:
Li 0.0922 0.5937 0.2673
Li 0.2494 0.7506 0.0000
Li 0.3838 0.8830 0.5822
Li 0.5937 0.0922 0.2673
Li 0.7506 0.2494 0.0000
Li 0.8830 0.3838 0.5822
Mn 0.1793 0.1793 0.2948
Mn 0.3117 0.3117 0.9114
Mn 0.4864 0.4864 0.6438
Mn 0.6777 0.6777 0.2943
Mn 0.9870 0.9870 0.6462
Fe 0.8117 0.8117 0.9160
B 0.0739 0.5770 0.6183
B 0.4118 0.9071 0.9502
B 0.4920 0.4920 0.2830
B 0.5770 0.0739 0.6183
B 0.9071 0.4118 0.9502
B 0.9926 0.9926 0.2815
O 0.0331 0.0331 0.1687
O 0.0482 0.0482 0.4754
O 0.1138 0.6181 0.8120
O 0.1307 0.6323 0.5361
O 0.3133 0.8119 0.8448
O 0.3952 0.3952 0.2052
O 0.4545 0.9527 0.1440
O 0.4661 0.9583 0.8616
O 0.4791 0.9782 0.5054
O 0.5311 0.5311 0.1675
O 0.5496 0.5496 0.4768
O 0.6181 0.1138 0.8120
O 0.6323 0.1307 0.5361
O 0.8119 0.3133 0.8448
O 0.8953 0.8953 0.1989
O 0.9527 0.4545 0.1440
O 0.9583 0.4661 0.8616
O 0.9782 0.4791 0.5054

Largest 10 diffraction maxima, by angle, 15° ≤ 2θ ≤ 90°:
2θ/deg	I/Imax
21.52	100
30.76	18
33.13	18
35.62	83
37.73	33
43.84	15
47.66	28
52.83	17
54.53	13
57.98	12